(1)
Diffraction record for Sr4Pt3. The X-ray powder pattern is theoretical, not measured: it uses a cell relaxed with PBE and Cu Kα, 1.54184 Å.
Peak positions follow from Bragg's law for the DFT cell and can differ from measured ones.

Unit cell a=4.178 b=4.178 c=25.393 alpha=90.00 beta=90.00 gamma=90.00
Space group I4/mmm (No. 139)
Inequivalent atoms, fractional coordinates:
1 Sr 0.000 0.000 0.066 (multiplicity 4)
2 Sr 0.000 0.000 0.306 (multiplicity 4)
3 Pt 0.000 0.000 0.182 (multiplicity 4)
4 Pt 0.000 0.000 0.500 (multiplicity 2)

Main lines, most intense first (5 to 70 degrees two-theta):
| 2θ/deg | intensity | (hkl) |
| --- | --- | --- |
| 30.3 | 100 | 1 1 0 |
| 23.8 | 50 | 1 0 3 |
| 38.5 | 41 | 1 0 9 |
| 43.3 | 38 | 2 0 0 |
| 21.0 | 30 | 0 0 6 |
| 37.1 | 29 | 1 1 6 |
| 41.8 | 26 | 1 1 8 |
| 59.3 | 23 | 2 1 9 |

(2)
Diffraction record for SrPt3. The X-ray powder pattern is theoretical, not measured: it uses a cell relaxed with PBE and Cu Kα, 1.54184 Å.
Peak positions follow from Bragg's law for the DFT cell and can differ from measured ones.

Unit cell a=5.154 b=9.023 c=18.457 alpha=90.00 beta=90.00 gamma=90.00
Space group Fmmm (No. 69)
Inequivalent atoms, fractional coordinates:
1 Sr 0.000 0.000 0.104 (multiplicity 8)
2 Pt 0.000 0.000 0.267 (multiplicity 8)
3 Pt 0.250 0.250 0.000 (multiplicity 8)
4 Pt 0.250 0.250 0.250 (multiplicity 8)

Main lines, most intense first (5 to 70 degrees two-theta):
| 2θ/deg | intensity | (hkl) |
| --- | --- | --- |
| 19.2 | 100 | 0 0 4 |
| 40.3 | 59 | 2 2 0 |
| 9.6 | 53 | 0 0 2 |
| 45.0 | 46 | 2 2 4 |
| 40.0 | 30 | 0 4 0 |
| 57.4 | 30 | 2 2 8 |
| 27.7 | 30 | 0 2 4 |
| 44.7 | 23 | 0 4 4 |

Copy entry 2 word for word.
Diffraction record for SrPt3. The X-ray powder pattern is theoretical, not measured: it uses a cell relaxed with PBE and Cu Kα, 1.54184 Å.
Peak positions follow from Bragg's law for the DFT cell and can differ from measured ones.

Unit cell a=5.154 b=9.023 c=18.457 alpha=90.00 beta=90.00 gamma=90.00
Space group Fmmm (No. 69)
Inequivalent atoms, fractional coordinates:
1 Sr 0.000 0.000 0.104 (multiplicity 8)
2 Pt 0.000 0.000 0.267 (multiplicity 8)
3 Pt 0.250 0.250 0.000 (multiplicity 8)
4 Pt 0.250 0.250 0.250 (multiplicity 8)

Main lines, most intense first (5 to 70 degrees two-theta):
| 2θ/deg | intensity | (hkl) |
| --- | --- | --- |
| 19.2 | 100 | 0 0 4 |
| 40.3 | 59 | 2 2 0 |
| 9.6 | 53 | 0 0 2 |
| 45.0 | 46 | 2 2 4 |
| 40.0 | 30 | 0 4 0 |
| 57.4 | 30 | 2 2 8 |
| 27.7 | 30 | 0 2 4 |
| 44.7 | 23 | 0 4 4 |